Diffraction record for SrY2GaO. The XRD peak list is calculated, not measured: it uses a cell relaxed with GGA-PBE and λ = 1.5418 Å (Cu Kα).
Peak positions follow from Bragg's law for the DFT cell and can differ from measured ones.

Main lines, by angle (2θ from 10° to 90°):
Position (°2θ), I (rel.)
31.99, 100
35.95, 22
37.68, 39
53.06, 28
54.34, 13
62.15, 15
64.46, 26
66.89, 13
87.12, 11
88.30, 6

```
SrY2GaO
1.0
4.775 0.000 0.000
0.000 4.775 0.000
0.000 0.000 4.996
Sr Y Ga O
1 2 1 1
Direct
0.000 0.000 0.000 Sr
0.000 0.500 0.500 Y
0.500 0.000 0.500 Y
0.500 0.500 0.000 Ga
0.000 0.000 0.500 O
```


Diffraction record for Sr3YGa2O8. The XRD peak list is calculated, not measured: it uses a cell relaxed with GGA-PBE and λ = 1.5418 Å (Cu Kα).
Peak positions follow from Bragg's law for the DFT cell and can differ from measured ones.

Main lines, by angle (2θ from 10° to 90°):
Position (°2θ), I (rel.)
30.16, 100
41.18, 7
43.17, 25
53.45, 8
53.60, 28
62.62, 7
62.78, 10
71.08, 6
71.19, 7
87.09, 10

```
Sr3YGa2O8
1.0
5.921 0.000 0.000
-2.960 5.128 0.000
0.000 0.000 7.275
Sr Y Ga O
3 1 2 8
Direct
0.000 0.000 0.000 Sr
0.333 0.667 0.638 Sr
0.667 0.333 0.362 Sr
0.000 0.000 0.500 Y
0.333 0.667 0.200 Ga
0.667 0.333 0.800 Ga
0.170 0.340 0.312 O
0.170 0.830 0.312 O
0.333 0.667 0.953 O
0.340 0.170 0.688 O
0.660 0.830 0.312 O
0.667 0.333 0.047 O
0.830 0.170 0.688 O
0.830 0.660 0.688 O
```


Diffraction record for YTaGa2O8. The XRD peak list is calculated, not measured: it uses a cell relaxed with GGA-PBE and λ = 1.5418 Å (Cu Kα).
Peak positions follow from Bragg's law for the DFT cell and can differ from measured ones.

Main lines, by angle (2θ from 10° to 90°):
Position (°2θ), I (rel.)
18.84, 32
26.02, 100
33.23, 78
37.12, 21
50.67, 65
53.51, 16
60.44, 14
63.44, 15
64.46, 19
76.80, 13

```
YTaGa2O8
1.0
-3.425 3.425 3.245
3.425 -3.425 3.245
3.425 3.425 -3.245
Y Ta Ga O
1 1 2 8
Direct
0.000 0.000 0.000 Y
0.250 0.750 0.500 Ta
0.500 0.500 0.000 Ga
0.750 0.250 0.500 Ga
0.315 0.109 0.794 O
0.315 0.521 0.206 O
0.360 0.034 0.326 O
0.479 0.685 0.794 O
0.708 0.034 0.674 O
0.891 0.685 0.206 O
0.966 0.292 0.326 O
0.966 0.640 0.674 O
```


Diffraction record for TbZnGaO4. The XRD peak list is calculated, not measured: it uses a cell relaxed with GGA-PBE and λ = 1.5418 Å (Cu Kα).
Peak positions follow from Bragg's law for the DFT cell and can differ from measured ones.

Main lines, by angle (2θ from 10° to 90°):
Position (°2θ), I (rel.)
17.47, 55
28.80, 19
32.41, 100
33.52, 29
33.68, 43
33.95, 25
35.37, 28
39.94, 32
53.35, 25
58.45, 51

```
TbZnGaO4
1.0
-3.100 3.293 4.419
3.100 -3.293 4.419
3.100 3.293 -4.419
Tb Zn Ga O
2 2 2 8
Direct
0.000 0.000 0.000 Tb
0.500 0.000 0.500 Tb
0.365 0.615 0.750 Zn
0.635 0.385 0.250 Zn
0.000 0.000 0.500 Ga
0.000 0.500 0.000 Ga
0.209 0.744 0.466 O
0.222 0.256 0.966 O
0.231 0.225 0.494 O
0.231 0.737 0.006 O
0.769 0.263 0.994 O
0.769 0.775 0.506 O
0.778 0.744 0.034 O
0.791 0.256 0.534 O
```


Diffraction record for GaTcO. The XRD peak list is calculated, not measured: it uses a cell relaxed with GGA-PBE and λ = 1.5418 Å (Cu Kα).
Peak positions follow from Bragg's law for the DFT cell and can differ from measured ones.

Main lines, by angle (2θ from 10° to 90°):
Position (°2θ), I (rel.)
20.35, 19
35.34, 49
35.59, 22
41.12, 68
43.46, 100
45.74, 14
63.44, 33
75.29, 17
80.04, 15
81.66, 14

```
GaTcO
1.0
2.933 0.000 0.000
-1.466 2.540 0.000
0.000 0.000 21.820
Ga Tc O
4 4 4
Direct
0.333 0.667 0.114 Ga
0.333 0.667 0.643 Ga
0.667 0.333 0.357 Ga
0.667 0.333 0.886 Ga
0.333 0.667 0.263 Tc
0.333 0.667 0.454 Tc
0.667 0.333 0.546 Tc
0.667 0.333 0.737 Tc
0.333 0.667 0.794 O
0.333 0.667 0.923 O
0.667 0.333 0.077 O
0.667 0.333 0.206 O
```


Diffraction record for Ga2Te2O7. The XRD peak list is calculated, not measured: it uses a cell relaxed with GGA-PBE and λ = 1.5418 Å (Cu Kα).
Peak positions follow from Bragg's law for the DFT cell and can differ from measured ones.

Main lines, by angle (2θ from 10° to 90°):
Position (°2θ), I (rel.)
22.81, 12
23.51, 100
26.80, 41
27.72, 53
29.76, 11
33.00, 22
34.35, 21
36.76, 12
37.49, 11
49.85, 24

```
Ga2Te2O7
1.0
3.805 -3.899 0.000
3.805 3.899 0.000
-1.272 0.000 11.401
Ga Te O
4 4 14
Direct
0.122 0.767 0.509 Ga
0.233 0.878 0.991 Ga
0.767 0.122 0.009 Ga
0.878 0.233 0.491 Ga
0.256 0.302 0.812 Te
0.302 0.256 0.312 Te
0.698 0.744 0.688 Te
0.744 0.698 0.188 Te
0.004 0.067 0.896 O
0.067 0.004 0.396 O
0.076 0.468 0.399 O
0.232 0.552 0.932 O
0.434 0.566 0.250 O
0.448 0.768 0.568 O
0.468 0.076 0.899 O
0.532 0.924 0.101 O
0.552 0.232 0.432 O
0.566 0.434 0.750 O
0.768 0.448 0.068 O
0.924 0.532 0.601 O
0.933 0.996 0.604 O
0.996 0.933 0.104 O
```


Number 2 is which compound? Sr3YGa2O8


What is the formula in the first record? SrY2GaO